Structure and calculated X-ray powder pattern of Ag5W4 (DFT lattice parameters and positions (GGA-PBE); CuKα).
Peak positions follow from Bragg's law for the DFT cell and can differ from measured ones.

```
data_Ag5W4
_cell_length_a 7.1682
_cell_length_b 7.1682
_cell_length_c 7.1682
_cell_angle_alpha 92.90
_cell_angle_beta 92.90
_cell_angle_gamma 153.98
_symmetry_space_group_name_H-M 'P 1'
_symmetry_Int_Tables_number 1
loop_
_symmetry_equiv_pos_as_xyz
'x,y,z'
loop_
_atom_site_label
_atom_site_fract_x
_atom_site_fract_y
_atom_site_fract_z
Ag1 0.0000 0.0000 0.0000
Ag2 0.3337 0.3337 0.6674
Ag3 0.3337 0.6663 0.0000
Ag4 0.6663 0.3337 0.0000
Ag5 0.6663 0.6663 0.3326
W1 0.0000 0.3512 0.3512
W2 0.0000 0.6488 0.6488
W3 0.3512 0.0000 0.3512
W4 0.6488 0.0000 0.6488
```

Peak list (10 most intense, 2θ from 10° to 80°, by angle)
2θ 12.67, d = 6.984 Å, intensity 18.8
2θ 17.96, d = 4.939 Å, intensity 4.5
2θ 38.68, d = 2.328 Å, intensity 49.8
2θ 39.08, d = 2.305 Å, intensity 100.0
2θ 47.25, d = 1.924 Å, intensity 6.2
2θ 54.46, d = 1.685 Å, intensity 2.0
2θ 55.85, d = 1.646 Å, intensity 15.8
2θ 57.08, d = 1.614 Å, intensity 8.4
2θ 70.27, d = 1.340 Å, intensity 30.3
2θ 71.09, d = 1.326 Å, intensity 16.2